No. 1
Diffraction record for Lu2Ni17. The X-ray powder pattern is simulated, not measured: it uses a PBE-relaxed structure and Cu Kα.
Neutral-atom scattering factors, no anomalous dispersion.

Structural model:
abc: 8.2144 8.2144 8.0000
angles: 90.00 90.00 120.00
Space group P6_3/mmc (No. 194)
Symmetry-distinct sites (fractional):
1 Lu 0.0000 0.0000 0.2500 x2
2 Lu 0.3333 0.6667 0.2500 x2
3 Ni 0.0000 0.5000 0.0000 x6
4 Ni 0.0379 0.3658 0.7500 x12
5 Ni 0.1654 0.3307 0.0193 x12
6 Ni 0.3333 0.6667 0.6019 x4

Largest 10 diffraction maxima, most intense first, 10 to 80 degrees two-theta:
| 2θ/deg | I (rel.) |
| --- | --- |
| 44.41 | 100 |
| 44.10 | 59 |
| 37.94 | 43 |
| 31.21 | 38 |
| 42.36 | 34 |
| 45.34 | 31 |
| 49.92 | 18 |
| 73.05 | 17 |
| 65.10 | 17 |
| 48.05 | 14 |

No. 2
Diffraction record for Ca3Cu6P8O32. The X-ray powder pattern is simulated, not measured: it uses a PBE-relaxed structure and Cu Kα.
Neutral-atom scattering factors, no anomalous dispersion.

Structural model:
abc: 4.905 9.197 14.558
angles: 84.80 89.88 89.36
Space group P1 (No. 1)
Symmetry-distinct sites (fractional):
1 Ca 0.000 0.000 0.000 x1
2 Ca 0.031 0.952 0.729 x1
3 Ca 0.497 0.499 0.492 x1
4 Cu 0.000 0.998 0.490 x1
5 Cu 0.038 0.339 0.873 x1
6 Cu 0.463 0.830 0.369 x1
7 Cu 0.498 0.499 0.994 x1
8 Cu 0.520 0.174 0.613 x1
9 Cu 0.961 0.665 0.117 x1
10 P 0.007 0.345 0.086 x1
11 P 0.008 0.373 0.655 x1
12 P 0.486 0.843 0.585 x1
13 P 0.487 0.876 0.154 x1
14 P 0.506 0.121 0.835 x1
15 P 0.507 0.152 0.401 x1
16 P 0.988 0.621 0.333 x1
17 P 0.989 0.653 0.904 x1
18 O 0.042 0.583 0.233 x1
19 O 0.064 0.259 0.998 x1
20 O 0.076 0.246 0.169 x1
21 O 0.091 0.778 0.348 x1
22 O 0.131 0.502 0.395 x1
23 O 0.181 0.868 0.131 x1
24 O 0.184 0.491 0.071 x1
25 O 0.205 0.100 0.397 x1
26 O 0.289 0.597 0.899 x1
27 O 0.301 0.992 0.572 x1
28 O 0.316 0.369 0.631 x1
29 O 0.348 0.002 0.891 x1
30 O 0.399 0.761 0.674 x1
31 O 0.403 0.278 0.848 x1
32 O 0.436 0.758 0.500 x1
33 O 0.456 0.082 0.732 x1
34 O 0.540 0.915 0.254 x1
35 O 0.565 0.241 0.487 x1
36 O 0.575 0.251 0.317 x1
37 O 0.593 0.718 0.140 x1
38 O 0.627 0.994 0.093 x1
39 O 0.681 0.629 0.356 x1
40 O 0.682 0.004 0.417 x1
41 O 0.704 0.400 0.088 x1
42 O 0.787 0.900 0.590 x1
43 O 0.810 0.507 0.916 x1
44 O 0.816 0.112 0.852 x1
45 O 0.862 0.490 0.592 x1
46 O 0.910 0.213 0.643 x1
47 O 0.918 0.752 0.819 x1
48 O 0.927 0.739 0.989 x1
49 O 0.951 0.414 0.755 x1

Largest 10 diffraction maxima, most intense first, 10 to 80 degrees two-theta:
| 2θ/deg | I (rel.) |
| --- | --- |
| 11.89 | 100 |
| 27.09 | 24 |
| 26.78 | 23 |
| 12.21 | 23 |
| 19.10 | 22 |
| 36.64 | 22 |
| 34.44 | 20 |
| 34.80 | 20 |
| 24.54 | 17 |
| 31.59 | 16 |

No. 3
Diffraction record for TlAgF3. The X-ray powder pattern is simulated, not measured: it uses a PBE-relaxed structure and Cu Kα.
Neutral-atom scattering factors, no anomalous dispersion.

Structural model:
abc: 4.427 4.429 4.429
angles: 89.90 89.17 89.59
Space group P1 (No. 1)
Symmetry-distinct sites (fractional):
1 Tl 0.000 0.000 0.000 x1
2 Ag 0.498 0.498 0.508 x1
3 F 0.490 0.493 0.009 x1
4 F 0.500 0.998 0.511 x1
5 F 0.998 0.499 0.507 x1

Largest 10 diffraction maxima, most intense first, 10 to 80 degrees two-theta:
| 2θ/deg | I (rel.) |
| --- | --- |
| 28.44 | 100 |
| 28.57 | 99 |
| 40.76 | 92 |
| 28.30 | 51 |
| 28.72 | 49 |
| 50.69 | 31 |
| 50.11 | 21 |
| 50.35 | 21 |
| 50.51 | 21 |
| 50.82 | 20 |